[1]
For NbAlCo, a cell relaxed with PBE gives the computed XRD peak list in this record (copper Kα).
Lines closer than 0.1° are merged.

Cell and atoms:
```
data_NbAlCo
_symmetry_space_group_name_H-M 'A m m 2'
_symmetry_Int_Tables_number 38
_symmetry_space_group_name_Hall 'A 2 -2'
_cell_length_a 7.974
_cell_length_b 5.021
_cell_length_c 8.471
_cell_angle_alpha 90.00
_cell_angle_beta 90.00
_cell_angle_gamma 90.00
loop_
_atom_site_label
_atom_site_fract_x
_atom_site_fract_y
_atom_site_fract_z
Nb1 0.175 0.000 0.000
Nb2 0.295 0.000 0.331
Al1 0.238 0.000 0.672
Al2 0.500 0.244 0.073
Co1 0.000 0.000 0.493
Co2 0.000 0.239 0.248
Co3 0.500 0.000 0.827
```

Top 8 peaks for 2θ from 15° to 90°, in order of rising 2θ:
2θ (°), d (Å), I/Imax
35.8, 2.511, 31
36.5, 2.461, 39
39.8, 2.264, 100
40.1, 2.251, 36
42.6, 2.125, 37
43.2, 2.094, 100
43.4, 2.085, 74
44.3, 2.047, 32

***

[2]
For CeMg2, a cell relaxed with PBE gives the computed XRD peak list in this record (copper Kα).
Lines closer than 0.1° are merged.

Cell and atoms:
```
data_CeMg2
_symmetry_space_group_name_H-M 'A m m 2'
_symmetry_Int_Tables_number 38
_symmetry_space_group_name_Hall 'A 2 -2'
_cell_length_a 5.656
_cell_length_b 3.145
_cell_length_c 16.957
_cell_angle_alpha 90.00
_cell_angle_beta 90.00
_cell_angle_gamma 90.00
loop_
_atom_site_label
_atom_site_fract_x
_atom_site_fract_y
_atom_site_fract_z
Ce1 0.000 0.000 0.000
Ce2 0.000 0.000 0.358
Mg1 0.000 0.000 0.679
Mg2 0.500 0.000 0.125
Mg3 0.500 0.000 0.456
Mg4 0.500 0.000 0.790
```

Top 8 peaks for 2θ from 15° to 90°, in order of rising 2θ:
2θ (°), d (Å), I/Imax
15.7, 5.656, 86
18.9, 4.705, 49
31.6, 2.827, 64
32.6, 2.748, 41
35.5, 2.528, 47
36.3, 2.472, 100
46.1, 1.971, 31
59.5, 1.555, 29

***

[3]
For LiNdTi2O6, a cell relaxed with PBE gives the computed XRD peak list in this record (copper Kα).
Lines closer than 0.1° are merged.

Cell and atoms:
```
data_LiNdTi2O6
_symmetry_space_group_name_H-M 'P m c 21'
_symmetry_Int_Tables_number 26
_symmetry_space_group_name_Hall 'P 2c -2'
_cell_length_a 7.661
_cell_length_b 5.377
_cell_length_c 5.623
_cell_angle_alpha 90.00
_cell_angle_beta 90.00
_cell_angle_gamma 90.00
loop_
_atom_site_label
_atom_site_fract_x
_atom_site_fract_y
_atom_site_fract_z
Li1 0.000 0.216 0.000
Nd1 0.500 0.236 0.072
Ti1 0.234 0.262 0.596
O1 0.000 0.150 0.629
O2 0.213 0.444 0.934
O3 0.300 0.042 0.353
O4 0.500 0.329 0.648
```

Top 8 peaks for 2θ from 15° to 90°, in order of rising 2θ:
2θ (°), d (Å), I/Imax
25.7, 3.466, 92
31.8, 2.811, 31
32.8, 2.728, 100
33.3, 2.688, 22
46.8, 1.943, 32
47.5, 1.915, 17
57.3, 1.607, 23
59.2, 1.560, 34